No. 1
# SiPb3
Calculated X-ray powder pattern, a wavelength of 1.5418 Å. Input: the PBE geometry in Alexandria.

Structural model:
abc: 4.846 5.177 8.896
angles: 90.00 90.00 90.00
Space group Cmmm (No. 65)
Asymmetric unit:
Si  0.000  0.000  0.000
Pb  0.000  0.000  0.500
Pb  0.000  0.500  0.209

Largest 10 diffraction maxima, sorted by position, 10° ≤ 2θ ≤ 90°:
d_spacing	2θ (°)	Rel. int.	(hkl)
3.287	27.12	34	1 1 1
2.965	30.14	18	0 0 3
2.769	32.33	100	1 1 2
2.588	34.66	25	0 2 0
2.423	37.10	21	2 0 0
1.769	51.67	16	2 2 0
1.589	58.03	18	1 1 5
1.527	60.65	17	1 3 2
1.519	60.99	14	2 2 3
1.457	63.89	15	3 1 2

=====

No. 2
# Nb3Cu
Calculated X-ray powder pattern, a wavelength of 1.5418 Å. Input: the PBE geometry in Alexandria.

Structural model:
abc: 4.048 4.048 8.307
angles: 90.00 90.00 90.00
Space group I4/mmm (No. 139)
Asymmetric unit:
Nb  0.000  0.000  0.000
Nb  0.000  0.500  0.250
Cu  0.000  0.000  0.500

Largest 10 diffraction maxima, sorted by position, 10° ≤ 2θ ≤ 90°:
d_spacing	2θ (°)	Rel. int.	(hkl)
4.153	21.39	1	0 0 2
3.639	24.46	2	1 0 1
2.357	38.18	100	1 1 2
2.077	43.58	17	0 0 4
2.024	44.78	31	2 0 0
1.450	64.26	21	2 0 4
1.431	65.18	10	2 2 0
1.246	76.42	12	1 1 6
1.223	78.12	23	3 1 2
1.178	81.71	10	2 2 4

=====

No. 3
# Na3Hf3TiS8
Calculated X-ray powder pattern, a wavelength of 1.5418 Å. Input: the PBE geometry in Alexandria.

Structural model:
abc: 7.2129 7.2129 20.6862
angles: 90.00 90.00 120.00
Space group R-3m (No. 166, hexagonal axes)
Asymmetric unit:
Na  0.0000  0.5000  0.0000
Hf  0.0000  0.5000  0.5000
Ti  0.0000  0.0000  0.5000
S  0.0000  0.0000  0.2404
S  0.0039  0.5019  0.2378

Largest 10 diffraction maxima, sorted by position, 10° ≤ 2θ ≤ 90°:
d_spacing	2θ (°)	Rel. int.	(hkl)
6.895	12.84	100	0 0 3
3.088	28.91	33	0 2 1
2.990	29.88	19	2 0 2
2.674	33.52	80	0 2 4
2.493	36.03	17	2 0 5
2.147	42.09	23	0 2 7
1.992	45.54	31	2 0 8
1.803	50.62	24	2 2 0
1.744	52.45	18	2 2 3
1.246	76.44	13	2 2 12

=====

No. 4
# CsTlGa
Calculated X-ray powder pattern, a wavelength of 1.5418 Å. Input: the PBE geometry in Alexandria.

Structural model:
abc: 4.660 5.291 19.769
angles: 90.00 90.00 90.00
Space group P2_12_12_1 (No. 19)
Asymmetric unit:
Cs  0.248  0.076  0.164
Tl  0.248  0.886  0.925
Ga  0.248  0.397  0.998

Largest 10 diffraction maxima, sorted by position, 10° ≤ 2θ ≤ 90°:
d_spacing	2θ (°)	Rel. int.	(hkl)
3.612	24.65	72	0 1 4
3.497	25.47	51	1 1 0
3.443	25.87	28	1 1 1
3.391	26.29	100	1 0 4
3.089	28.90	30	1 1 3
2.855	31.34	42	1 1 4
2.330	38.64	33	2 0 0
2.285	39.43	28	1 2 1
2.172	41.58	28	1 2 3
1.958	46.38	26	2 1 4

=====

No. 5
# Y2Cu3Ag
Calculated X-ray powder pattern, a wavelength of 1.5418 Å. Input: the PBE geometry in Alexandria.

Structural model:
abc: 7.150 8.706 15.187
angles: 90.00 90.00 90.00
Space group Fmmm (No. 69)
Asymmetric unit:
Y  0.247  0.000  0.000
Y  0.250  0.250  0.250
Cu  0.000  0.000  0.162
Cu  0.000  0.242  0.081
Ag  0.000  0.000  0.333

Largest 10 diffraction maxima, sorted by position, 10° ≤ 2θ ≤ 90°:
d_spacing	2θ (°)	Rel. int.	(hkl)
2.599	34.52	100	2 2 2
2.188	41.26	43	0 2 6
2.177	41.49	21	0 4 0
1.788	51.10	11	4 0 0
1.677	54.75	8	2 0 8
1.670	54.99	16	2 4 4
1.384	67.68	18	4 2 6
1.381	67.84	9	4 4 0
1.331	70.79	7	2 2 10
1.328	70.95	7	2 4 8

=====

No. 6
# Pr3TlOs
Calculated X-ray powder pattern, a wavelength of 1.5418 Å. Input: the PBE geometry in Alexandria.

Structural model:
abc: 6.820 10.183 16.687
angles: 90.00 90.00 90.00
Space group Fmmm (No. 69)
Asymmetric unit:
Pr  0.000  0.000  0.201
Pr  0.000  0.193  0.388
Tl  0.211  0.000  0.000
Os  0.250  0.250  0.250

Largest 10 diffraction maxima, sorted by position, 10° ≤ 2θ ≤ 90°:
d_spacing	2θ (°)	Rel. int.	(hkl)
4.346	20.43	35	0 2 2
3.227	27.64	21	0 2 4
2.990	29.89	41	1 3 1
2.876	31.10	37	1 1 5
2.683	33.40	100	2 2 2
2.640	33.96	62	2 0 4
2.546	35.26	26	0 4 0
2.441	36.83	42	0 2 6
2.344	38.41	17	2 2 4
1.685	54.47	19	1 5 5

=====

No. 7
# CaHf8N8O4
Calculated X-ray powder pattern, a wavelength of 1.5418 Å. Input: the PBE geometry in Alexandria.

Structural model:
abc: 5.449 5.600 10.342
angles: 86.67 89.64 61.51
Space group P1 (No. 1)
Asymmetric unit:
Ca  0.000  0.000  0.000
Hf  0.027  0.950  0.369
Hf  0.306  0.327  0.133
Hf  0.342  0.324  0.840
Hf  0.350  0.305  0.424
Hf  0.658  0.691  0.872
Hf  0.661  0.683  0.175
Hf  0.695  0.617  0.575
Hf  0.927  0.005  0.681
N  0.015  0.653  0.261
N  0.324  0.659  0.494
N  0.326  0.030  0.274
N  0.540  0.000  0.020
N  0.619  0.413  0.739
N  0.697  0.993  0.514
N  0.947  0.443  0.022
N  0.979  0.623  0.740
O  0.016  0.272  0.510
O  0.236  0.010  0.799
O  0.391  0.567  0.992
O  0.628  0.339  0.264

Largest 10 diffraction maxima, sorted by position, 10° ≤ 2θ ≤ 90°:
d_spacing	2θ (°)	Rel. int.	(hkl)
4.303	20.64	18	1 0 1
2.831	31.61	100	1 1 3
2.821	31.72	62	1 -1 0
2.793	32.05	59	1 2 0
2.738	32.70	42	0 1 -3
2.724	32.88	53	2 1 0
2.061	43.93	24	0 2 3
1.943	46.76	16	2 0 3
1.638	56.14	25	0 3 0
1.595	57.80	26	3 0 0

=====

No. 8
# PmY2Er9
Calculated X-ray powder pattern, a wavelength of 1.5418 Å. Input: the PBE geometry in Alexandria.

Structural model:
abc: 11.1674 11.1674 3.4880
angles: 90.00 90.00 120.00
Space group P6/mmm (No. 191)
Asymmetric unit:
Pm  0.0000  0.0000  0.0000
Y  0.3333  0.6667  0.0000
Er  0.0000  0.5000  0.0000
Er  0.1774  0.3547  0.5000

Largest 10 diffraction maxima, sorted by position, 10° ≤ 2θ ≤ 90°:
d_spacing	2θ (°)	Rel. int.	(hkl)
2.958	30.21	17	1 1 1
2.829	31.63	72	2 0 1
2.792	32.06	100	2 2 0
2.523	35.58	17	2 1 1
2.367	38.01	10	3 0 1
1.987	45.66	25	4 0 1
1.619	56.87	25	4 2 1
1.612	57.15	17	6 0 0
1.479	62.83	29	2 2 2
1.184	81.27	13	6 0 2